1.
# AlSBr3
Computed powder X-ray diffraction pattern, a wavelength of 1.5418 Å. Input: DFT lattice parameters and positions (GGA-PBE).
Intensities are scaled so that the largest is 100.

Principal peaks in the range 15 to 90 degrees two-theta, most intense first:
2θ (°)  I/Imax
29.32  100
23.80  43
17.82  36
26.73  32
53.53  27
45.43  26
47.20  26
36.08  23
56.54  15
76.64  13

Atomic structure:
```
data_AlSBr3
_symmetry_space_group_name_H-M 'P 1'
_symmetry_Int_Tables_number 1
_cell_length_a 7.7027
_cell_length_b 7.7027
_cell_length_c 7.4776
_cell_angle_alpha 90.00
_cell_angle_beta 90.00
_cell_angle_gamma 120.00
loop_
_symmetry_equiv_pos_as_xyz
'x,y,z'
loop_
_atom_site_label
_atom_site_fract_x
_atom_site_fract_y
_atom_site_fract_z
_atom_site_occupancy
Al1 0.3333 0.6667 0.3361 1
Al2 0.6667 0.3333 0.6639 1
S1 0.3333 0.6667 0.6450 1
S2 0.6667 0.3333 0.3550 1
Br1 0.1672 0.3343 0.2560 1
Br2 0.1672 0.8328 0.2560 1
Br3 0.3343 0.1672 0.7440 1
Br4 0.6657 0.8328 0.2560 1
Br5 0.8328 0.1672 0.7440 1
Br6 0.8328 0.6657 0.7440 1
```

=====

2.
# CeIn8Ag4
Computed powder X-ray diffraction pattern, a wavelength of 1.5418 Å. Input: DFT lattice parameters and positions (GGA-PBE).
Intensities are scaled so that the largest is 100.

Principal peaks in the range 15 to 90 degrees two-theta, most intense first:
2θ (°)  I/Imax
35.46  100
39.43  74
35.00  73
35.62  64
30.54  49
39.99  35
63.58  32
63.88  25
56.88  25
39.85  21

Atomic structure:
```
data_CeIn8Ag4
_symmetry_space_group_name_H-M 'P 1'
_symmetry_Int_Tables_number 1
_cell_length_a 7.7261
_cell_length_b 7.7261
_cell_length_c 7.7261
_cell_angle_alpha 98.54
_cell_angle_beta 98.54
_cell_angle_gamma 134.66
loop_
_symmetry_equiv_pos_as_xyz
'x,y,z'
loop_
_atom_site_label
_atom_site_fract_x
_atom_site_fract_y
_atom_site_fract_z
_atom_site_occupancy
Ce1 0.0000 0.0000 0.0000 1
In1 0.0000 0.3441 0.3441 1
In2 0.0000 0.6559 0.6559 1
In3 0.2876 0.5000 0.7876 1
In4 0.3441 0.0000 0.3441 1
In5 0.5000 0.2876 0.7876 1
In6 0.5000 0.7124 0.2124 1
In7 0.6559 0.0000 0.6559 1
In8 0.7124 0.5000 0.2124 1
Ag1 0.0000 0.0000 0.5000 1
Ag2 0.0000 0.5000 0.0000 1
Ag3 0.5000 0.0000 0.0000 1
Ag4 0.5000 0.5000 0.5000 1
```